The following is a theoretical powder X-ray diffraction pattern of Pm2Y7Ho2. It was derived from the PBE geometry in Alexandria, using Cu Ka.

Peak list (6 most intense, 2θ = 10–90°, by angle)
d = 3.311 Å, I 20
d = 3.203 Å, I 20
d = 2.916 Å, I 37
d = 2.709 Å, I 100
d = 2.581 Å, I 24
d = 1.641 Å, I 20

Atomic structure:
```
Pm2Y7Ho2
1.0
8.8175 -5.8314 0.0000
8.8175 5.8314 0.0000
-0.7358 0.0000 3.5356
Pm Y Ho
2 7 2
direct
0.2344 0.7656 0.0000 Pm
0.7656 0.2344 0.0000 Pm
0.0825 0.5827 0.3325 Y
0.1198 0.1198 0.1209 Y
0.4173 0.9175 0.6675 Y
0.5000 0.5000 0.5000 Y
0.5827 0.0825 0.3325 Y
0.8802 0.8802 0.8791 Y
0.9175 0.4173 0.6675 Y
0.2988 0.2988 0.7992 Ho
0.7012 0.7012 0.2008 Ho
```



The following is a theoretical powder X-ray diffraction pattern of Er2Si7Ir12. It was derived from the PBE geometry in Alexandria, using Cu Ka.

Peak list (6 most intense, 2θ = 10–90°, by angle)
d = 3.189 Å, I 19
d = 2.461 Å, I 100
d = 2.002 Å, I 12
d = 1.935 Å, I 34
d = 1.841 Å, I 14
d = 1.368 Å, I 11

Atomic structure:
```
Er2Si7Ir12
1.0
9.7424 0.0000 0.0000
-4.8712 8.4371 0.0000
0.0000 0.0000 3.8695
Er Si Ir
2 7 12
direct
0.0000 0.0000 0.0000 Er
0.3333 0.6667 0.5000 Er
0.0728 0.4500 0.0000 Si
0.2604 0.2181 0.5000 Si
0.3772 0.9272 0.0000 Si
0.5500 0.6228 0.0000 Si
0.6667 0.3333 0.0000 Si
0.7819 0.0423 0.5000 Si
0.9577 0.7396 0.5000 Si
0.0498 0.2730 0.5000 Ir
0.1111 0.7118 0.0000 Ir
0.2232 0.9502 0.5000 Ir
0.2882 0.3993 0.0000 Ir
0.3948 0.1821 0.0000 Ir
0.5276 0.4438 0.5000 Ir
0.5562 0.0838 0.5000 Ir
0.6007 0.8889 0.0000 Ir
0.7270 0.7768 0.5000 Ir
0.7873 0.6052 0.0000 Ir
0.8179 0.2127 0.0000 Ir
0.9162 0.4724 0.5000 Ir
```



The following is a theoretical powder X-ray diffraction pattern of Cs4KRb. It was derived from the PBE geometry in Alexandria, using Cu Ka.

Peak list (6 most intense, 2θ = 10–90°, by angle)
d = 4.283 Å, I 100
d = 4.238 Å, I 96
d = 3.984 Å, I 41
d = 3.956 Å, I 41
d = 3.270 Å, I 25
d = 2.528 Å, I 25

Atomic structure:
```
Cs4KRb
1.0
6.5407 0.0000 0.0000
3.2578 8.7945 0.0000
0.0020 3.5773 10.7543
Cs K Rb
4 1 1
direct
0.0000 0.0000 0.0000 Cs
0.0011 0.0000 0.4919 Cs
0.3203 0.3612 0.1602 Cs
0.3197 0.3612 0.6516 Cs
0.6603 0.6806 0.3256 K
0.6603 0.6805 0.8256 Rb
```



The following is a theoretical powder X-ray diffraction pattern of KTlCdSn2. It was derived from the PBE geometry in Alexandria, using Cu Ka.

Peak list (6 most intense, 2θ = 10–90°, by angle)
d = 6.079 Å, I 52
d = 4.767 Å, I 49
d = 3.138 Å, I 100
d = 2.591 Å, I 75
d = 2.339 Å, I 83
d = 1.442 Å, I 37

Atomic structure:
```
KTlCdSn2
1.0
-2.5909 2.5909 6.0791
2.5909 -2.5909 6.0791
2.5909 2.5909 -6.0791
K Tl Cd Sn
1 1 1 2
direct
0.0000 0.0000 0.0000 K
0.7500 0.2500 0.5000 Tl
0.2500 0.7500 0.5000 Cd
0.3823 0.3823 0.0000 Sn
0.6177 0.6177 0.0000 Sn
```



The following is a theoretical powder X-ray diffraction pattern of Ac3Cd7Ag4. It was derived from the PBE geometry in Alexandria, using Cu Ka.

Peak list (6 most intense, 2θ = 10–90°, by angle)
d = 2.871 Å, I 100
d = 2.827 Å, I 37
d = 2.819 Å, I 91
d = 2.764 Å, I 73
d = 2.441 Å, I 42
d = 2.433 Å, I 91

Atomic structure:
```
Ac3Cd7Ag4
1.0
8.7740 -2.4332 0.0000
8.7740 2.4332 0.0000
-5.5544 0.0000 8.4115
Ac Cd Ag
3 7 4
direct
0.0000 0.0000 0.0000 Ac
0.2987 0.2987 0.2992 Ac
0.7013 0.7013 0.7008 Ac
0.0000 0.0000 0.5000 Cd
0.1414 0.1414 0.4220 Cd
0.3301 0.3301 0.9799 Cd
0.4994 0.4994 0.6958 Cd
0.5006 0.5006 0.3042 Cd
0.6699 0.6699 0.0201 Cd
0.8586 0.8586 0.5780 Cd
0.1285 0.1285 0.8422 Ag
0.3394 0.3394 0.7080 Ag
0.6606 0.6606 0.2920 Ag
0.8715 0.8715 0.1578 Ag
```



The following is a theoretical powder X-ray diffraction pattern of Ca5HoTe6. It was derived from the PBE geometry in Alexandria, using Cu Ka.

Peak list (6 most intense, 2θ = 10–90°, by angle)
d = 3.657 Å, I 20
d = 3.167 Å, I 100
d = 2.239 Å, I 75
d = 1.828 Å, I 27
d = 1.416 Å, I 33
d = 1.293 Å, I 24

Atomic structure:
```
Ca5HoTe6
1.0
3.8789 -6.7154 0.0000
3.8789 6.7154 0.0000
-2.5874 0.0000 7.3153
Ca Ho Te
5 1 6
direct
0.0000 0.0000 0.0000 Ca
0.1662 0.8338 0.5000 Ca
0.3316 0.6684 0.0000 Ca
0.6684 0.3316 0.0000 Ca
0.8338 0.1662 0.5000 Ca
0.5000 0.5000 0.5000 Ho
0.0908 0.4180 0.2538 Te
0.2556 0.2556 0.7469 Te
0.4180 0.0908 0.2538 Te
0.5820 0.9092 0.7462 Te
0.7444 0.7444 0.2531 Te
0.9092 0.5820 0.7462 Te
```